1.
Calculated PXRD pattern
Compound: HfTiF6
Radiation: CuKα
Structure: the GGA-PBE geometry in the Materials Project
No peak broadening, texture or thermal motion is included.

Peak list (10 most intense, 2θ from 10° to 80°, in order of falling intensity)
| (hkl) | 2theta | I/Imax |
| --- | --- | --- |
| 2 0 0 | 22.9 | 100 |
| 1 1 1 | 19.8 | 41 |
| 4 2 0 | 52.6 | 39 |
| 2 2 0 | 32.5 | 39 |
| 3 1 1 | 38.4 | 25 |
| 4 0 0 | 46.7 | 23 |
| 6 0 0 | 72.9 | 17 |
| 4 2 2 | 58.1 | 16 |
| 4 4 0 | 68.2 | 13 |
| 3 3 1 | 51.2 | 12 |

Atomic structure:
Cell: 7.7815 7.7815 7.7815 Å, 90.00 90.00 90.00°
Space group Fm-3m (No. 225)
One atom of each set of equivalent atoms:
Hf: 0.0000 0.0000 0.0000 x4
Ti: 0.0000 0.0000 0.5000 x4
F: 0.0000 0.0000 0.2518 x24

---

2.
Calculated PXRD pattern
Compound: SrMg6ZnO8
Radiation: CuKα
Structure: the GGA-PBE geometry in the Materials Project
No peak broadening, texture or thermal motion is included.

Peak list (10 most intense, 2θ from 10° to 80°, in order of falling intensity)
| (hkl) | 2theta | I/Imax |
| --- | --- | --- |
| 2 0 0 | 39.9 | 100 |
| 2 0 4 | 59.0 | 53 |
| 1 1 2 | 34.9 | 49 |
| 0 0 4 | 41.7 | 42 |
| 1 0 0 | 19.6 | 36 |
| 1 0 2 | 28.5 | 30 |
| 2 2 0 | 57.7 | 30 |
| 2 2 4 | 73.6 | 25 |
| 0 0 2 | 20.5 | 17 |
| 3 1 2 | 69.2 | 17 |

Atomic structure:
Cell: 4.5198 4.5198 8.6707 Å, 90.00 90.00 90.00°
Space group P4/mmm (No. 123)
One atom of each set of equivalent atoms:
Sr: 0.0000 0.0000 0.0000 x1
Mg: 0.0000 0.5000 0.2620 x4
Mg: 0.5000 0.5000 0.0000 x1
Mg: 0.5000 0.5000 0.5000 x1
Zn: 0.0000 0.0000 0.5000 x1
O: 0.0000 0.0000 0.2722 x2
O: 0.0000 0.5000 0.0000 x2
O: 0.0000 0.5000 0.5000 x2
O: 0.5000 0.5000 0.2517 x2

---

3.
Calculated PXRD pattern
Compound: YWC2
Radiation: CuKα
Structure: the GGA-PBE geometry in the Materials Project
No peak broadening, texture or thermal motion is included.

Peak list (10 most intense, 2θ from 10° to 80°, in order of falling intensity)
| (hkl) | 2theta | I/Imax |
| --- | --- | --- |
| 1 1 2 | 34.9 | 100 |
| 0 0 4 | 33.1 | 32 |
| 2 0 1 | 32.3 | 32 |
| 2 0 3 | 40.2 | 28 |
| 1 1 1 | 31.8 | 25 |
| 1 0 1 | 17.5 | 22 |
| 3 1 1 | 55.8 | 21 |
| 1 1 6 | 60.3 | 16 |
| 0 0 8 | 69.5 | 14 |
| 1 1 3 | 39.7 | 14 |

Atomic structure:
Cell: 5.7376 3.3905 10.8198 Å, 90.00 90.00 90.00°
Space group Pnma (No. 62)
One atom of each set of equivalent atoms:
Y: 0.0853 0.2500 0.1368 x4
W: 0.0967 0.7500 0.3894 x4
C: 0.1605 0.2500 0.7528 x4
C: 0.2218 0.2500 0.4844 x4

---

4.
Calculated PXRD pattern
Compound: LiSm3BiRu4O14
Radiation: CuKα
Structure: the GGA-PBE geometry in the Materials Project
No peak broadening, texture or thermal motion is included.

Peak list (10 most intense, 2θ from 10° to 80°, in order of falling intensity)
| (hkl) | 2theta | I/Imax |
| --- | --- | --- |
| 2 2 0 | 29.4 | 100 |
| 4 0 0 | 34.3 | 45 |
| 2 2 2 | 48.8 | 32 |
| 4 0 -2 | 30.1 | 32 |
| 6 2 -2 | 49.7 | 29 |
| 6 2 0 | 58.4 | 29 |
| 4 0 2 | 58.0 | 14 |
| 8 0 -2 | 59.2 | 13 |
| 4 4 2 | 79.1 | 12 |
| 4 4 0 | 61.0 | 10 |

Atomic structure:
Cell: 12.6345 7.4701 7.3383 Å, 90.00 124.07 90.00°
Space group Cm (No. 8)
One atom of each set of equivalent atoms:
Li: 0.0000 0.0000 0.0000 x2
Sm: 0.0188 0.2584 0.7235 x4
Sm: 0.2769 0.0000 0.2406 x2
Bi: 0.2652 0.0000 0.7364 x2
Ru: 0.0160 0.2550 0.2396 x4
Ru: 0.2609 0.5000 0.2396 x2
Ru: 0.2610 0.5000 0.7294 x2
O: 0.0970 0.0000 0.3156 x2
O: 0.1199 0.0000 0.8809 x2
O: 0.1394 0.2984 0.1594 x4
O: 0.1405 0.2933 0.5668 x4
O: 0.1772 0.5000 0.8993 x2
O: 0.3412 0.5000 0.5627 x2
O: 0.3877 0.0000 0.6133 x2
O: 0.3893 0.2880 0.3232 x4
O: 0.3910 0.2939 0.9035 x4
O: 0.4338 0.0000 0.1533 x2